1.
Simulated PXRD pattern of SrCu8Si5 for copper Kα, from a PBE-relaxed structure.
Kinematic intensities with the Lorentz-polarization factor, no thermal factor.

Peak list (12 most intense, 10° ≤ 2θ ≤ 80°, by angle)
d = 3.474 Å, intensity 29; d = 2.619 Å, intensity 30; d = 2.583 Å, intensity 51; d = 2.571 Å, intensity 21; d = 2.383 Å, intensity 21; d = 2.356 Å, intensity 100; d = 1.976 Å, intensity 57; d = 1.961 Å, intensity 20; d = 1.955 Å, intensity 96; d = 1.945 Å, intensity 51; d = 1.672 Å, intensity 17; d = 1.595 Å, intensity 18

Crystal structure
Cell: 8.2264 8.2264 8.2264 Å, 120.76 120.76 88.69°
Atoms (fractional coordinates):
Sr: 0.2500 0.2500 0.0000
Sr: 0.7500 0.7500 0.0000
Cu: 0.0575 0.7928 0.8503
Cu: 0.0609 0.5609 0.2633
Cu: 0.2024 0.9391 0.5000
Cu: 0.2072 0.0575 0.2647
Cu: 0.2928 0.5575 0.8503
Cu: 0.2976 0.7976 0.7367
Cu: 0.4391 0.7024 0.5000
Cu: 0.4425 0.2928 0.7353
Cu: 0.5575 0.7072 0.2647
Cu: 0.5609 0.2976 0.5000
Cu: 0.7024 0.2024 0.2633
Cu: 0.7072 0.4425 0.1497
Cu: 0.7928 0.9425 0.7353
Cu: 0.7976 0.0609 0.5000
Cu: 0.9391 0.4391 0.7367
Cu: 0.9425 0.2072 0.1497
Si: 0.0000 0.5000 0.5000
Si: 0.0587 0.1951 0.5000
Si: 0.1951 0.6951 0.1364
Si: 0.3049 0.4413 0.5000
Si: 0.4413 0.9413 0.1364
Si: 0.5000 0.0000 0.5000
Si: 0.5587 0.0587 0.8636
Si: 0.6951 0.5587 0.5000
Si: 0.8049 0.3049 0.8636
Si: 0.9413 0.8049 0.5000



2.
Simulated PXRD pattern of Sm2HoCo2B2P3 for copper Kα, from a PBE-relaxed structure.
Kinematic intensities with the Lorentz-polarization factor, no thermal factor.

Peak list (12 most intense, 10° ≤ 2θ ≤ 80°, by angle)
d = 3.446 Å, intensity 100; d = 2.918 Å, intensity 24; d = 2.762 Å, intensity 50; d = 2.743 Å, intensity 45; d = 2.679 Å, intensity 29; d = 2.467 Å, intensity 26; d = 2.204 Å, intensity 57; d = 1.953 Å, intensity 44; d = 1.946 Å, intensity 23; d = 1.699 Å, intensity 28; d = 1.591 Å, intensity 34; d = 1.363 Å, intensity 21

Crystal structure
Cell: 11.3144 11.3144 11.3144 Å, 160.12 160.12 28.26°
Atoms (fractional coordinates):
Sm: 0.1390 0.1390 0.0000
Sm: 0.8610 0.8610 0.0000
Ho: 0.5000 0.5000 0.0000
Co: 0.2500 0.7500 0.5000
Co: 0.7500 0.2500 0.5000
B: 0.2851 0.2851 0.0000
B: 0.7149 0.7149 0.0000
P: 0.0000 0.0000 0.0000
P: 0.3752 0.3752 0.0000
P: 0.6248 0.6248 0.0000



3.
Simulated PXRD pattern of Mo2NCl8 for copper Kα, from a PBE-relaxed structure.
Kinematic intensities with the Lorentz-polarization factor, no thermal factor.

Peak list (12 most intense, 10° ≤ 2θ ≤ 80°, by angle)
d = 7.474 Å, intensity 28; d = 6.680 Å, intensity 100; d = 6.122 Å, intensity 81; d = 5.482 Å, intensity 75; d = 5.006 Å, intensity 27; d = 4.509 Å, intensity 63; d = 3.736 Å, intensity 39; d = 3.033 Å, intensity 30; d = 2.881 Å, intensity 47; d = 2.672 Å, intensity 39; d = 2.529 Å, intensity 27; d = 1.950 Å, intensity 41

Crystal structure
Cell: 10.2137 6.6798 18.3880 Å, 90.00 101.42 90.00°
Atoms (fractional coordinates):
Mo: 0.0000 0.0440 0.0000
Mo: 0.0000 0.9560 0.5000
Mo: 0.1288 0.0439 0.8271
Mo: 0.1288 0.9561 0.3271
Mo: 0.4526 0.1772 0.2906
Mo: 0.4526 0.8228 0.7906
Mo: 0.6761 0.1769 0.5367
Mo: 0.6761 0.8231 0.0367
N: 0.2715 0.0602 0.3090
N: 0.2715 0.9398 0.8090
N: 0.8574 0.0603 0.5182
N: 0.8574 0.9397 0.0182
Cl: 0.0047 0.3392 0.0609
Cl: 0.0047 0.6608 0.5609
Cl: 0.0645 0.2209 0.4137
Cl: 0.0645 0.7791 0.9137
Cl: 0.1236 0.3391 0.7661
Cl: 0.1236 0.6609 0.2661
Cl: 0.1555 0.1184 0.5865
Cl: 0.1555 0.8816 0.0865
Cl: 0.2291 0.1848 0.9444
Cl: 0.2291 0.8152 0.4444
Cl: 0.3452 0.3082 0.1810
Cl: 0.3452 0.6918 0.6810
Cl: 0.4067 0.4292 0.3649
Cl: 0.4067 0.5708 0.8649
Cl: 0.4733 0.2990 0.5512
Cl: 0.4733 0.7010 0.0512
Cl: 0.4793 0.1384 0.7471
Cl: 0.4793 0.8616 0.2471
Cl: 0.5644 0.0072 0.4137
Cl: 0.5644 0.9928 0.9137
Cl: 0.6503 0.1392 0.0802
Cl: 0.6503 0.8608 0.5802
Cl: 0.6551 0.3005 0.2764
Cl: 0.6551 0.6995 0.7764
Cl: 0.7217 0.4296 0.4626
Cl: 0.7217 0.5704 0.9626
Cl: 0.7833 0.3081 0.6464
Cl: 0.7833 0.6919 0.1464
Cl: 0.8997 0.1845 0.8828
Cl: 0.8997 0.8155 0.3828
Cl: 0.9732 0.1193 0.2409
Cl: 0.9732 0.8807 0.7409



4.
Simulated PXRD pattern of TmLuHgC for copper Kα, from a PBE-relaxed structure.
Kinematic intensities with the Lorentz-polarization factor, no thermal factor.

Peak list (11 most intense, 10° ≤ 2θ ≤ 80°, by angle)
d = 3.057 Å, intensity 23; d = 2.631 Å, intensity 100; d = 2.582 Å, intensity 20; d = 1.973 Å, intensity 16; d = 1.765 Å, intensity 21; d = 1.529 Å, intensity 3; d = 1.500 Å, intensity 18; d = 1.466 Å, intensity 17; d = 1.457 Å, intensity 21; d = 1.315 Å, intensity 4; d = 1.291 Å, intensity 3

Crystal structure
Cell: 3.5301 3.5301 15.4935 Å, 90.00 90.00 120.00°
Atoms (fractional coordinates):
Tm: 0.0000 0.0000 0.1649
Tm: 0.0000 0.0000 0.8351
Lu: 0.3333 0.6667 0.3354
Lu: 0.3333 0.6667 0.6646
Hg: 0.0000 0.0000 0.5000
Hg: 0.3333 0.6667 0.0000
C: 0.6667 0.3333 0.2505
C: 0.6667 0.3333 0.7495



- Which formula does entry 2 have?
  Sm2HoCo2B2P3